Diffraction record for Cu17Hg. The PXRD pattern is computed, not measured: it uses DFT lattice parameters and positions (GGA-PBE) and Cu Kα (λ = 1.5418 Å).
Kinematic intensities with the Lorentz-polarization factor, no thermal factor.

Top 10 peaks for 10 to 90 degrees two-theta, in order of falling intensity:
- hkl 2 0 5, 43.54 deg, rel. 100
- hkl 0 2 10, 50.53 deg, rel. 48
- hkl 2 0 4, 42.64 deg, rel. 33
- hkl 2 2 0, 74.72 deg, rel. 27
- hkl 2 0 6, 44.62 deg, rel. 22
- hkl 0 0 4, 11.19 deg, rel. 21
- hkl 0 2 9, 48.83 deg, rel. 19
- hkl 0 0 15, 42.90 deg, rel. 19
- hkl 0 2 11, 52.36 deg, rel. 13
- hkl 1 0 4, 23.13 deg, rel. 11

Cell and atoms:
```
Cu17Hg
1.0
5.083 0.000 0.000
-2.541 4.402 0.000
0.000 0.000 31.619
Cu Hg
34 2
direct
0.000 0.000 0.000
0.000 0.000 0.197
0.000 0.000 0.803
0.000 0.500 0.000
0.002 0.501 0.804
0.166 0.332 0.935
0.166 0.333 0.131
0.166 0.834 0.131
0.166 0.834 0.935
0.167 0.334 0.738
0.167 0.833 0.738
0.332 0.166 0.065
0.333 0.166 0.869
0.333 0.667 0.065
0.333 0.667 0.871
0.334 0.167 0.262
0.499 0.501 0.804
0.499 0.998 0.804
0.500 0.000 0.000
0.500 0.500 0.000
0.501 0.002 0.196
0.501 0.499 0.196
0.666 0.833 0.738
0.667 0.333 0.129
0.667 0.333 0.935
0.667 0.834 0.131
0.668 0.834 0.935
0.833 0.167 0.262
0.833 0.666 0.262
0.834 0.166 0.065
0.834 0.166 0.869
0.834 0.667 0.869
0.834 0.668 0.065
0.998 0.499 0.196
0.333 0.667 0.293
0.667 0.333 0.707
```